Simulated PXRD pattern
Compound: Ba2Bi3O7
Radiation: Cu Ka
Structure: DFT lattice parameters and positions (GGA-PBE)
Lines closer than 0.1° are merged.

Principal peaks in the range 10° ≤ 2θ ≤ 90°, by intensity:
two_theta  Rel. int.
28.68  100
29.49  66
29.65  63
46.69  31
51.52  28
21.39  28
36.05  28
41.26  27

Cell and atoms:
Cell lengths 4.3761, 12.4597, 4.4293 Å; angles 90.00, 90.00, 90.00 degrees
Sites, in units of the cell vectors:
Ba 0.0000 0.2107 0.0000
Ba 0.0000 0.7893 0.0000
Bi 0.5000 0.0000 0.5779
Bi 0.5000 0.3620 0.4969
Bi 0.5000 0.6380 0.4969
O 0.0000 0.0000 0.7747
O 0.0000 0.3389 0.5026
O 0.0000 0.6611 0.5026
O 0.5000 0.1777 0.4865
O 0.5000 0.3361 0.9956
O 0.5000 0.6639 0.9956
O 0.5000 0.8223 0.4865

---

Simulated PXRD pattern
Compound: ErTiBe
Radiation: Cu Ka
Structure: DFT lattice parameters and positions (GGA-PBE)
Lines closer than 0.1° are merged.

Principal peaks in the range 10° ≤ 2θ ≤ 90°, by intensity:
two_theta  Rel. int.
37.60  100
29.32  54
40.20  47
28.13  35
24.43  31
16.22  30
71.35  30
32.64  27

Cell and atoms:
Cell lengths 3.1721, 3.1721, 10.9303 Å; angles 90.00, 90.00, 90.10 degrees
Sites, in units of the cell vectors:
Er 0.0000 0.0000 0.1696
Er 0.0000 0.0000 0.8304
Ti 0.5000 0.5000 0.3756
Ti 0.5000 0.5000 0.6244
Be 0.0000 0.0000 0.5000
Be 0.5000 0.5000 0.0000

---

Simulated PXRD pattern
Compound: LaNd2Sm5Er
Radiation: Cu Ka
Structure: DFT lattice parameters and positions (GGA-PBE)
Lines closer than 0.1° are merged.

Principal peaks in the range 10° ≤ 2θ ≤ 90°, by intensity:
two_theta  Rel. int.
30.27  100
28.42  51
28.13  49
51.50  22
42.31  21
36.93  17
54.89  13
33.87  13

Cell and atoms:
Cell lengths 10.0963, 10.0963, 10.0963 Å; angles 127.81, 127.81, 76.93 degrees
Sites, in units of the cell vectors:
La 0.2500 0.2500 0.0000
La 0.7500 0.7500 0.0000
Nd 0.1175 0.6175 0.7350
Nd 0.3825 0.1175 0.5000
Nd 0.6175 0.8825 0.5000
Nd 0.8825 0.3825 0.2650
Sm 0.0000 0.0000 0.0000
Sm 0.0713 0.1542 0.5000
Sm 0.1542 0.6542 0.0829
Sm 0.3458 0.4287 0.5000
Sm 0.4287 0.9287 0.0829
Sm 0.5000 0.5000 0.0000
Sm 0.5713 0.0713 0.9171
Sm 0.6542 0.5713 0.5000
Sm 0.8458 0.3458 0.9171
Sm 0.9287 0.8458 0.5000
Er 0.2500 0.7500 0.5000
Er 0.7500 0.2500 0.5000

---

Simulated PXRD pattern
Compound: Nd4P2S
Radiation: Cu Ka
Structure: DFT lattice parameters and positions (GGA-PBE)
Lines closer than 0.1° are merged.

Principal peaks in the range 10° ≤ 2θ ≤ 90°, by intensity:
two_theta  Rel. int.
27.59  100
27.84  84
30.70  65
31.15  53
46.67  41
37.07  34
39.78  28
50.81  27

Cell and atoms:
Cell lengths 7.8965, 7.8965, 7.8965 Å; angles 109.95, 109.95, 108.51 degrees
Sites, in units of the cell vectors:
Nd 0.2036 0.2574 0.5537
Nd 0.2036 0.6499 0.9463
Nd 0.2574 0.2036 0.0537
Nd 0.3501 0.7964 0.5537
Nd 0.6499 0.2036 0.4463
Nd 0.7426 0.7964 0.9463
Nd 0.7964 0.3501 0.0537
Nd 0.7964 0.7426 0.4463
P 0.0000 0.5000 0.5000
P 0.5000 0.0000 0.0000
P 0.5000 0.5000 0.0000
P 0.5000 0.5000 0.5000
S 0.1250 0.8750 0.2500
S 0.8750 0.1250 0.7500

---

Simulated PXRD pattern
Compound: SmPtF7
Radiation: Cu Ka
Structure: DFT lattice parameters and positions (GGA-PBE)
Lines closer than 0.1° are merged.

Principal peaks in the range 10° ≤ 2θ ≤ 90°, by intensity:
two_theta  Rel. int.
21.78  100
22.18  43
28.71  33
47.66  26
31.83  17
44.06  17
44.38  17
25.99  16

Cell and atoms:
Cell lengths 9.0666, 5.6225, 12.1738 Å; angles 90.00, 117.87, 90.00 degrees
Sites, in units of the cell vectors:
Sm 0.1878 0.2394 0.2647
Sm 0.1878 0.2606 0.7647
Sm 0.8122 0.7394 0.2353
Sm 0.8122 0.7606 0.7353
Pt 0.2728 0.7430 0.0428
Pt 0.2728 0.7570 0.5428
Pt 0.7272 0.2430 0.4572
Pt 0.7272 0.2570 0.9572
F 0.0280 0.7435 0.9503
F 0.0280 0.7565 0.4503
F 0.0324 0.5908 0.7314
F 0.0324 0.9092 0.2314
F 0.2560 0.5558 0.1733
F 0.2560 0.9442 0.6733
F 0.2724 0.0339 0.1325
F 0.2724 0.4661 0.6325
F 0.2810 0.0538 0.4593
F 0.2810 0.4462 0.9593
F 0.2947 0.5652 0.4159
F 0.2947 0.9348 0.9159
F 0.4826 0.2315 0.3597
F 0.4826 0.2685 0.8597
F 0.5174 0.7315 0.1403
F 0.5174 0.7685 0.6403
F 0.7053 0.0652 0.0841
F 0.7053 0.4348 0.5841
F 0.7190 0.5538 0.0407
F 0.7190 0.9462 0.5407
F 0.7276 0.5339 0.3675
F 0.7276 0.9661 0.8675
F 0.7440 0.0558 0.3267
F 0.7440 0.4442 0.8267
F 0.9676 0.0908 0.7686
F 0.9676 0.4092 0.2686
F 0.9720 0.2435 0.5497
F 0.9720 0.2565 0.0497

---

Simulated PXRD pattern
Compound: Sc2GaMoH
Radiation: Cu Ka
Structure: DFT lattice parameters and positions (GGA-PBE)
Lines closer than 0.1° are merged.

Principal peaks in the range 10° ≤ 2θ ≤ 90°, by intensity:
two_theta  Rel. int.
37.12  100
39.83  42
70.53  28
65.07  18
57.60  13
27.87  11
49.19  11
79.08  10

Cell and atoms:
Cell lengths 4.5265, 4.5265, 3.7044 Å; angles 90.00, 90.00, 90.00 degrees
Sites, in units of the cell vectors:
Sc 0.0000 0.5000 0.0000
Sc 0.5000 0.0000 0.0000
Ga 0.0000 0.0000 0.5000
Mo 0.5000 0.5000 0.5000
H 0.5000 0.5000 0.0000

---

Simulated PXRD pattern
Compound: Pm2HBr5
Radiation: Cu Ka
Structure: DFT lattice parameters and positions (GGA-PBE)
Lines closer than 0.1° are merged.

Principal peaks in the range 10° ≤ 2θ ≤ 90°, by intensity:
two_theta  Rel. int.
11.30  100
30.26  25
45.05  18
32.81  17
35.86  16
36.17  16
36.63  15
30.67  14

Cell and atoms:
Cell lengths 4.0263, 8.0588, 15.6807 Å; angles 91.65, 90.00, 103.52 degrees
Sites, in units of the cell vectors:
Pm 0.2158 0.4274 0.1390
Pm 0.2301 0.4572 0.6425
Pm 0.7699 0.5428 0.3575
Pm 0.7842 0.5726 0.8610
H 0.2627 0.5262 0.7800
H 0.7373 0.4738 0.2200
Br 0.1457 0.2775 0.3192
Br 0.1766 0.3429 0.9406
Br 0.3396 0.6915 0.4824
Br 0.3628 0.7419 0.2630
Br 0.4090 0.8395 0.8856
Br 0.5910 0.1605 0.1144
Br 0.6372 0.2581 0.7370
Br 0.6604 0.3085 0.5176
Br 0.8234 0.6571 0.0594
Br 0.8543 0.7225 0.6808